Theoretical X-ray diffraction stick pattern of PuMg2H8Ir for copper Kα, from a structure optimized by DFT (GGA-PBE).

Structure:
```
data_PuMg2H8Ir
_space_group_name_H-M_alt 'P -3 m 1'
_space_group_IT_number 164
_space_group_name_Hall '-P 3 2"'
_cell_length_a 4.4279
_cell_length_b 4.4279
_cell_length_c 6.7008
_cell_angle_alpha 90.00
_cell_angle_beta 90.00
_cell_angle_gamma 120.00
loop_
_atom_site_label
_atom_site_fract_x
_atom_site_fract_y
_atom_site_fract_z
_atom_site_occupancy
Pu1 0.0000 0.0000 0.0000 1
Mg1 0.3333 0.6667 0.3422 1
H1 0.1680 0.3360 0.6689 1
H2 0.3333 0.6667 0.0569 1
Ir1 0.0000 0.0000 0.5000 1
```

Principal peaks in the range 2θ = 5–70°, in order of rising 2θ:
2θ 23.20, I = 100, hkl 1 0 0; 2θ 26.61, I = 24, hkl 0 0 2; 2θ 26.79, I = 4, hkl 0 1 1; 2θ 35.58, I = 81, hkl 1 0 2; 2θ 40.76, I = 34, hkl 1 1 0; 2θ 47.42, I = 15, hkl 2 0 0; 2θ 49.34, I = 29, hkl 1 1 2; 2θ 55.20, I = 24, hkl 0 2 2; 2θ 60.29, I = 19, hkl 0 1 4; 2θ 64.27, I = 13, hkl 2 1 0


Theoretical X-ray diffraction stick pattern of EuGdHo2 for copper Kα, from a structure optimized by DFT (GGA-PBE).

Structure:
```
data_EuGdHo2
_space_group_name_H-M_alt 'P 4/m m m'
_space_group_IT_number 123
_space_group_name_Hall '-P 4 2'
_cell_length_a 5.1020
_cell_length_b 5.1020
_cell_length_c 5.0580
_cell_angle_alpha 90.00
_cell_angle_beta 90.00
_cell_angle_gamma 90.00
loop_
_atom_site_label
_atom_site_fract_x
_atom_site_fract_y
_atom_site_fract_z
_atom_site_occupancy
Eu1 0.0000 0.0000 0.0000 1
Gd1 0.5000 0.5000 0.0000 1
Ho1 0.0000 0.5000 0.5000 1
```

Principal peaks in the range 2θ = 5–70°, in order of rising 2θ:
2θ 30.43, I = 100, hkl 1 1 1; 2θ 35.18, I = 34, hkl 2 0 0; 2θ 35.50, I = 17, hkl 0 0 2; 2θ 50.60, I = 12, hkl 2 2 0; 2θ 50.84, I = 24, hkl 2 0 2; 2θ 60.20, I = 29, hkl 3 1 1; 2θ 60.63, I = 14, hkl 1 1 3; 2θ 63.33, I = 12, hkl 2 2 2


Theoretical X-ray diffraction stick pattern of Tb3SbSe6 for copper Kα, from a structure optimized by DFT (GGA-PBE).

Structure:
```
data_Tb3SbSe6
_space_group_name_H-M_alt 'P 1 21/m 1'
_space_group_IT_number 11
_space_group_name_Hall '-P 2yb'
_cell_length_a 11.9153
_cell_length_b 4.1592
_cell_length_c 11.9508
_cell_angle_alpha 90.00
_cell_angle_beta 109.54
_cell_angle_gamma 90.00
loop_
_atom_site_label
_atom_site_fract_x
_atom_site_fract_y
_atom_site_fract_z
_atom_site_occupancy
Tb1 0.0101 0.2500 0.3364 1
Tb2 0.3341 0.7500 0.4280 1
Tb3 0.4282 0.2500 0.8411 1
Sb1 0.1829 0.7500 0.9938 1
Se1 0.0270 0.2500 0.8818 1
Se2 0.1210 0.7500 0.4902 1
Se3 0.2196 0.2500 0.2683 1
Se4 0.2456 0.7500 0.7965 1
Se5 0.4011 0.2500 0.0738 1
Se6 0.4366 0.2500 0.6064 1
```

Principal peaks in the range 2θ = 5–70°, in order of rising 2θ:
2θ 22.35, I = 52, hkl 3 0 -1; 2θ 25.01, I = 48, hkl 1 1 1; 2θ 29.34, I = 100, hkl 1 1 2; 2θ 30.42, I = 56, hkl 2 0 -4; 2θ 32.15, I = 50, hkl 3 1 0; 2θ 33.80, I = 34, hkl 2 1 2; 2θ 38.63, I = 38, hkl 0 1 4; 2θ 39.48, I = 47, hkl 3 1 -4; 2θ 41.74, I = 32, hkl 4 1 1; 2θ 43.52, I = 60, hkl 0 2 0